The following is a theoretical powder X-ray diffraction pattern of BaSm5Al3Si9N20O. It was derived from a cell relaxed with PBE, using Cu Kα X-rays.
No peak broadening, texture or thermal motion is included.

a = 6.1851 Å, b = 9.5745 Å, c = 9.5753 Å
α = 60.06°, β = 89.85°, γ = 89.70°
Space group P1 (No. 1)
Asymmetric unit:
1 Ba 0.0000 0.0000 0.0000 [1 per cell]
2 Sm 0.4945 0.7512 0.9984 [1 per cell]
3 Sm 0.4954 0.3362 0.3321 [1 per cell]
4 Sm 0.5007 0.0013 0.2461 [1 per cell]
5 Sm 0.5008 0.2505 0.7477 [1 per cell]
6 Sm 0.5027 0.6653 0.6652 [1 per cell]
7 Al 0.2540 0.6077 0.3847 [1 per cell]
8 Al 0.2547 0.0090 0.6040 [1 per cell]
9 Al 0.7434 0.3938 0.9908 [1 per cell]
10 Si 0.0016 0.4702 0.7121 [1 per cell]
11 Si 0.0068 0.8200 0.4634 [1 per cell]
12 Si 0.0112 0.7162 0.8156 [1 per cell]
13 Si 0.2488 0.3927 0.0056 [1 per cell]
14 Si 0.7485 0.9924 0.6065 [1 per cell]
15 Si 0.7491 0.6091 0.3968 [1 per cell]
16 Si 0.9869 0.1822 0.2820 [1 per cell]
17 Si 0.9920 0.2864 0.5281 [1 per cell]
18 Si 0.9964 0.5326 0.1809 [1 per cell]
19 N 0.0025 0.5208 0.9974 [1 per cell]
20 N 0.0760 0.6687 0.6629 [1 per cell]
21 N 0.2070 0.3566 0.8444 [1 per cell]
22 N 0.2088 0.8161 0.3456 [1 per cell]
23 N 0.2085 0.8405 0.8109 [1 per cell]
24 N 0.2429 0.2229 0.1971 [1 per cell]
25 N 0.2491 0.2144 0.5742 [1 per cell]
26 N 0.2503 0.5783 0.2101 [1 per cell]
27 N 0.4848 0.4922 0.9926 [1 per cell]
28 N 0.5131 0.0033 0.5070 [1 per cell]
29 N 0.5131 0.5107 0.4844 [1 per cell]
30 N 0.7471 0.4234 0.7868 [1 per cell]
31 N 0.7537 0.7782 0.4180 [1 per cell]
32 N 0.7547 0.8006 0.7766 [1 per cell]
33 N 0.7902 0.1866 0.1574 [1 per cell]
34 N 0.7912 0.1518 0.6436 [1 per cell]
35 N 0.7915 0.6466 0.1996 [1 per cell]
36 N 0.9209 0.3345 0.3296 [1 per cell]
37 N 0.9903 0.0008 0.4783 [1 per cell]
38 N 0.9902 0.4810 0.5174 [1 per cell]
39 O 0.5001 0.0018 0.9961 [1 per cell]

Principal peaks in the range 10° ≤ 2θ ≤ 80°, low angle first:
two_theta	I (rel.)
14.32	33
31.98	100
32.08	35
32.38	30
34.47	31
34.58	31

=====

The following is a theoretical powder X-ray diffraction pattern of Pr2ZnRu. It was derived from a cell relaxed with PBE, using Cu Kα X-rays.
No peak broadening, texture or thermal motion is included.

a = 7.2514 Å, b = 7.2514 Å, c = 7.2514 Å
α = 90.00°, β = 90.00°, γ = 90.00°
Space group Fm-3m (No. 225)
Asymmetric unit:
1 Pr 0.2500 0.2500 0.2500 [8 per cell]
2 Zn 0.0000 0.0000 0.0000 [4 per cell]
3 Ru 0.0000 0.0000 0.5000 [4 per cell]

Principal peaks in the range 10° ≤ 2θ ≤ 80°, low angle first:
two_theta	I (rel.)
24.55	7
35.00	100
50.33	18
56.78	3
62.78	36
73.94	11